No. 1
Theoretical X-ray powder pattern
Compound: La2Pm5Ho6
Radiation: Cu Ka
Structure: a crystal structure in Alexandria, relaxed with GGA-PBE
Peak positions follow from Bragg's law for the DFT cell and can differ from measured ones.

Structure:
Cell lengths 11.7922, 20.6032, 3.6114 Å; angles 90.00, 90.00, 90.00 degrees
Positions (direct):
1 La 0.1717 0.2225 0.0000
2 La 0.3283 0.7225 0.0000
3 La 0.6717 0.2775 0.0000
4 La 0.8283 0.7775 0.0000
5 Pm 0.0000 0.5000 0.5000
6 Pm 0.0884 0.7832 0.5000
7 Pm 0.2012 0.0544 0.5000
8 Pm 0.2988 0.5544 0.5000
9 Pm 0.4116 0.2832 0.5000
10 Pm 0.5000 0.0000 0.5000
11 Pm 0.5884 0.7168 0.5000
12 Pm 0.7012 0.4456 0.5000
13 Pm 0.7988 0.9456 0.5000
14 Pm 0.9116 0.2168 0.5000
15 Ho 0.0620 0.9257 0.0000
16 Ho 0.0729 0.6382 0.0000
17 Ho 0.1831 0.3765 0.5000
18 Ho 0.3169 0.8765 0.5000
19 Ho 0.4271 0.1382 0.0000
20 Ho 0.4380 0.4257 0.0000
21 Ho 0.5620 0.5743 0.0000
22 Ho 0.5729 0.8618 0.0000
23 Ho 0.6831 0.1235 0.5000
24 Ho 0.8169 0.6235 0.5000
25 Ho 0.9271 0.3618 0.0000
26 Ho 0.9380 0.0743 0.0000

Top 10 peaks for 2θ = 5–70°, sorted by position:
- 2θ 29.0, d 3.083, rel. 28
- 2θ 30.6, d 2.918, rel. 65
- 2θ 31.2, d 2.868, rel. 43
- 2θ 31.3, d 2.856, rel. 69
- 2θ 31.8, d 2.810, rel. 100
- 2θ 33.9, d 2.643, rel. 45
- 2θ 34.7, d 2.586, rel. 30
- 2θ 36.2, d 2.480, rel. 27
- 2θ 50.5, d 1.806, rel. 23
- 2θ 60.7, d 1.526, rel. 26

***

No. 2
Theoretical X-ray powder pattern
Compound: La3Pm3Ho
Radiation: Cu Ka
Structure: a crystal structure in Alexandria, relaxed with GGA-PBE
Peak positions follow from Bragg's law for the DFT cell and can differ from measured ones.

Structure:
Cell lengths 9.8470, 9.8470, 5.9126 Å; angles 90.00, 90.00, 120.00 degrees
Positions (direct):
1 La 0.0475 0.2431 0.2500
2 La 0.1956 0.9525 0.2500
3 La 0.2431 0.1956 0.7500
4 La 0.7569 0.8044 0.2500
5 La 0.8044 0.0475 0.7500
6 La 0.9525 0.7569 0.7500
7 Pm 0.0954 0.4806 0.7500
8 Pm 0.3853 0.9046 0.7500
9 Pm 0.4806 0.3853 0.2500
10 Pm 0.5194 0.6147 0.7500
11 Pm 0.6147 0.0954 0.2500
12 Pm 0.9046 0.5194 0.2500
13 Ho 0.3333 0.6667 0.2500
14 Ho 0.6667 0.3333 0.7500

Top 10 peaks for 2θ = 5–70°, sorted by position:
- 2θ 27.7, d 3.223, rel. 24
- 2θ 30.2, d 2.956, rel. 25
- 2θ 31.6, d 2.830, rel. 100
- 2θ 41.4, d 2.179, rel. 16
- 2θ 48.9, d 1.861, rel. 20
- 2θ 54.6, d 1.681, rel. 21
- 2θ 57.2, d 1.612, rel. 3
- 2θ 58.6, d 1.575, rel. 23
- 2θ 59.4, d 1.555, rel. 16
- 2θ 66.0, d 1.415, rel. 4

***

No. 3
Theoretical X-ray powder pattern
Compound: LaPm2Ho7
Radiation: Cu Ka
Structure: a crystal structure in Alexandria, relaxed with GGA-PBE
Peak positions follow from Bragg's law for the DFT cell and can differ from measured ones.

Structure:
Cell lengths 6.1688, 7.1351, 8.0092 Å; angles 76.96, 75.09, 73.58 degrees
Positions (direct):
1 La 0.0000 0.0000 0.0000
2 Pm 0.2025 0.7971 0.5994
3 Pm 0.7975 0.2029 0.4006
4 Ho 0.0000 0.5000 0.0000
5 Ho 0.1992 0.3017 0.5996
6 Ho 0.3999 0.1009 0.2005
7 Ho 0.4019 0.5978 0.1997
8 Ho 0.5981 0.4022 0.8003
9 Ho 0.6001 0.8991 0.7995
10 Ho 0.8008 0.6983 0.4004

Top 10 peaks for 2θ = 5–70°, sorted by position:
- 2θ 30.6, d 2.919, rel. 100
- 2θ 30.7, d 2.914, rel. 99
- 2θ 35.5, d 2.532, rel. 68
- 2θ 35.7, d 2.513, rel. 33
- 2θ 51.1, d 1.787, rel. 24
- 2θ 51.2, d 1.783, rel. 36
- 2θ 60.6, d 1.527, rel. 22
- 2θ 60.7, d 1.525, rel. 36
- 2θ 61.1, d 1.518, rel. 28
- 2θ 63.9, d 1.458, rel. 18

***

No. 4
Theoretical X-ray powder pattern
Compound: La5Pm2Ho4
Radiation: Cu Ka
Structure: a crystal structure in Alexandria, relaxed with GGA-PBE
Peak positions follow from Bragg's law for the DFT cell and can differ from measured ones.

Structure:
Cell lengths 9.1655, 9.1655, 11.7972 Å; angles 93.75, 93.75, 22.49 degrees
Positions (direct):
1 La 0.0000 0.0000 0.0000
2 La 0.3240 0.3240 0.9278
3 La 0.4044 0.4044 0.4666
4 La 0.5956 0.5956 0.5334
5 La 0.6760 0.6760 0.0722
6 Pm 0.2167 0.2167 0.3499
7 Pm 0.7833 0.7833 0.6501
8 Ho 0.1398 0.1398 0.7989
9 Ho 0.4670 0.4670 0.7394
10 Ho 0.5330 0.5330 0.2606
11 Ho 0.8602 0.8602 0.2011

Top 10 peaks for 2θ = 5–70°, sorted by position:
- 2θ 29.5, d 3.030, rel. 24
- 2θ 29.8, d 2.995, rel. 24
- 2θ 30.4, d 2.945, rel. 93
- 2θ 31.3, d 2.856, rel. 100
- 2θ 32.4, d 2.760, rel. 39
- 2θ 33.4, d 2.684, rel. 25
- 2θ 36.6, d 2.455, rel. 23
- 2θ 46.8, d 1.943, rel. 16
- 2θ 60.6, d 1.528, rel. 18
- 2θ 61.2, d 1.515, rel. 30

***

No. 5
Theoretical X-ray powder pattern
Compound: La2Pm5Ho12
Radiation: Cu Ka
Structure: a crystal structure in Alexandria, relaxed with GGA-PBE
Peak positions follow from Bragg's law for the DFT cell and can differ from measured ones.

Structure:
Cell lengths 6.7826, 8.8294, 11.4942 Å; angles 110.90, 92.40, 100.45 degrees
Positions (direct):
1 La 0.1544 0.3823 0.0743
2 La 0.8456 0.6177 0.9257
3 Pm 0.0479 0.1860 0.4606
4 Pm 0.3771 0.7388 0.9866
5 Pm 0.5000 0.0000 0.5000
6 Pm 0.6229 0.2612 0.0134
7 Pm 0.9521 0.8140 0.5394
8 Ho 0.1175 0.7811 0.2508
9 Ho 0.1515 0.9777 0.8662
10 Ho 0.1665 0.5724 0.6861
11 Ho 0.3435 0.5569 0.4142
12 Ho 0.3848 0.1422 0.2327
13 Ho 0.3882 0.3066 0.7764
14 Ho 0.6118 0.6934 0.2236
15 Ho 0.6152 0.8578 0.7673
16 Ho 0.6565 0.4431 0.5858
17 Ho 0.8335 0.4276 0.3139
18 Ho 0.8485 0.0223 0.1338
19 Ho 0.8825 0.2189 0.7492

Top 10 peaks for 2θ = 5–70°, sorted by position:
- 2θ 31.0, d 2.882, rel. 21
- 2θ 31.2, d 2.867, rel. 100
- 2θ 31.5, d 2.842, rel. 39
- 2θ 31.7, d 2.823, rel. 38
- 2θ 31.9, d 2.806, rel. 54
- 2θ 32.2, d 2.779, rel. 52
- 2θ 32.7, d 2.740, rel. 49
- 2θ 33.6, d 2.666, rel. 24
- 2θ 46.2, d 1.965, rel. 12
- 2θ 53.0, d 1.728, rel. 13

***

No. 6
Theoretical X-ray powder pattern
Compound: LaPm2Ho5
Radiation: Cu Ka
Structure: a crystal structure in Alexandria, relaxed with GGA-PBE
Peak positions follow from Bragg's law for the DFT cell and can differ from measured ones.

Structure:
Cell lengths 7.1655, 14.3501, 5.0732 Å; angles 90.00, 90.00, 90.00 degrees
Positions (direct):
1 La 0.0000 0.0000 0.0000
2 La 0.5000 0.5000 0.0000
3 Pm 0.2454 0.3735 0.5000
4 Pm 0.2546 0.8735 0.5000
5 Pm 0.7454 0.1265 0.5000
6 Pm 0.7546 0.6265 0.5000
7 Ho 0.0000 0.5000 0.0000
8 Ho 0.0048 0.7478 0.0000
9 Ho 0.2471 0.1262 0.5000
10 Ho 0.2529 0.6262 0.5000
11 Ho 0.4952 0.2478 0.0000
12 Ho 0.5000 0.0000 0.0000
13 Ho 0.5048 0.7522 0.0000
14 Ho 0.7471 0.3738 0.5000
15 Ho 0.7529 0.8738 0.5000
16 Ho 0.9952 0.2522 0.0000

Top 5 peaks for 2θ = 5–70°, sorted by position:
- 2θ 30.5, d 2.928, rel. 100
- 2θ 35.4, d 2.536, rel. 51
- 2θ 50.9, d 1.793, rel. 36
- 2θ 60.6, d 1.529, rel. 43
- 2θ 63.6, d 1.464, rel. 12

***

No. 7
Theoretical X-ray powder pattern
Compound: La5Pm6Ho2
Radiation: Cu Ka
Structure: a crystal structure in Alexandria, relaxed with GGA-PBE
Peak positions follow from Bragg's law for the DFT cell and can differ from measured ones.

Structure:
Cell lengths 11.8533, 21.0915, 3.6727 Å; angles 90.00, 90.00, 90.00 degrees
Positions (direct):
1 La 0.0000 0.0000 0.0000
2 La 0.0841 0.2716 0.0000
3 La 0.1975 0.5511 0.0000
4 La 0.3025 0.0511 0.0000
5 La 0.4159 0.7716 0.0000
6 La 0.5000 0.5000 0.0000
7 La 0.5841 0.2284 0.0000
8 La 0.6975 0.9489 0.0000
9 La 0.8025 0.4489 0.0000
10 La 0.9159 0.7284 0.0000
11 Pm 0.0625 0.4179 0.5000
12 Pm 0.0838 0.1307 0.5000
13 Pm 0.1738 0.8591 0.0000
14 Pm 0.3262 0.3591 0.0000
15 Pm 0.4162 0.6307 0.5000
16 Pm 0.4375 0.9179 0.5000
17 Pm 0.5625 0.0821 0.5000
18 Pm 0.5838 0.3693 0.5000
19 Pm 0.6738 0.6409 0.0000
20 Pm 0.8262 0.1409 0.0000
21 Pm 0.9162 0.8693 0.5000
22 Pm 0.9375 0.5821 0.5000
23 Ho 0.1704 0.7095 0.5000
24 Ho 0.3296 0.2095 0.5000
25 Ho 0.6704 0.7905 0.5000
26 Ho 0.8296 0.2905 0.5000

Top 10 peaks for 2θ = 5–70°, sorted by position:
- 2θ 26.4, d 3.370, rel. 14
- 2θ 30.5, d 2.935, rel. 53
- 2θ 30.6, d 2.920, rel. 100
- 2θ 31.0, d 2.884, rel. 15
- 2θ 31.4, d 2.853, rel. 89
- 2θ 33.4, d 2.686, rel. 38
- 2θ 34.1, d 2.626, rel. 14
- 2θ 35.7, d 2.512, rel. 39
- 2θ 49.6, d 1.836, rel. 19
- 2θ 59.4, d 1.556, rel. 32

***

No. 8
Theoretical X-ray powder pattern
Compound: La6Pm2Ho5
Radiation: Cu Ka
Structure: a crystal structure in Alexandria, relaxed with GGA-PBE
Peak positions follow from Bragg's law for the DFT cell and can differ from measured ones.

Structure:
Cell lengths 11.9562, 20.7704, 3.6586 Å; angles 90.00, 90.00, 90.00 degrees
Positions (direct):
1 La 0.0504 0.0785 0.0000
2 La 0.0762 0.3641 0.0000
3 La 0.1807 0.6270 0.5000
4 La 0.3193 0.1270 0.5000
5 La 0.4238 0.8641 0.0000
6 La 0.4496 0.5785 0.0000
7 La 0.5504 0.4215 0.0000
8 La 0.5762 0.1359 0.0000
9 La 0.6807 0.8730 0.5000
10 La 0.8193 0.3730 0.5000
11 La 0.9238 0.6359 0.0000
12 La 0.9496 0.9215 0.0000
13 Pm 0.1652 0.7857 0.0000
14 Pm 0.3348 0.2857 0.0000
15 Pm 0.6652 0.7143 0.0000
16 Pm 0.8348 0.2143 0.0000
17 Ho 0.0000 0.5000 0.5000
18 Ho 0.0944 0.2235 0.5000
19 Ho 0.2059 0.9429 0.5000
20 Ho 0.2941 0.4429 0.5000
21 Ho 0.4056 0.7235 0.5000
22 Ho 0.5000 0.0000 0.5000
23 Ho 0.5944 0.2765 0.5000
24 Ho 0.7059 0.5571 0.5000
25 Ho 0.7941 0.0571 0.5000
26 Ho 0.9056 0.7765 0.5000

Top 10 peaks for 2θ = 5–70°, sorted by position:
- 2θ 26.8, d 3.321, rel. 22
- 2θ 29.9, d 2.989, rel. 21
- 2θ 30.2, d 2.959, rel. 52
- 2θ 30.8, d 2.901, rel. 47
- 2θ 31.1, d 2.878, rel. 100
- 2θ 31.4, d 2.845, rel. 87
- 2θ 33.5, d 2.674, rel. 40
- 2θ 34.3, d 2.613, rel. 25
- 2θ 35.8, d 2.512, rel. 25
- 2θ 59.9, d 1.544, rel. 35

***

No. 9
Theoretical X-ray powder pattern
Compound: La2PmPrHo5
Radiation: Cu Ka
Structure: a crystal structure in Alexandria, relaxed with GGA-PBE
Peak positions follow from Bragg's law for the DFT cell and can differ from measured ones.

Structure:
Cell lengths 10.0276, 10.0276, 10.0276 Å; angles 128.59, 128.59, 75.67 degrees
Positions (direct):
1 La 0.1178 0.6178 0.7356
2 La 0.3822 0.1178 0.5000
3 La 0.6178 0.8822 0.5000
4 La 0.8822 0.3822 0.2644
5 Pm 0.2500 0.2500 0.0000
6 Pm 0.7500 0.7500 0.0000
7 Pr 0.2500 0.7500 0.5000
8 Pr 0.7500 0.2500 0.5000
9 Ho 0.0000 0.0000 0.0000
10 Ho 0.0730 0.1470 0.5000
11 Ho 0.1470 0.6470 0.0740
12 Ho 0.3530 0.4270 0.5000
13 Ho 0.4270 0.9270 0.0740
14 Ho 0.5000 0.5000 0.0000
15 Ho 0.5730 0.0730 0.9260
16 Ho 0.6470 0.5730 0.5000
17 Ho 0.8530 0.3530 0.9260
18 Ho 0.9270 0.8530 0.5000

Top 10 peaks for 2θ = 5–70°, sorted by position:
- 2θ 28.5, d 3.132, rel. 43
- 2θ 29.0, d 3.075, rel. 52
- 2θ 30.5, d 2.928, rel. 100
- 2θ 32.6, d 2.751, rel. 12
- 2θ 37.7, d 2.385, rel. 14
- 2θ 39.9, d 2.257, rel. 12
- 2θ 45.8, d 1.980, rel. 11
- 2θ 52.4, d 1.746, rel. 24
- 2θ 55.2, d 1.665, rel. 13
- 2θ 55.7, d 1.651, rel. 12

***

No. 10
Theoretical X-ray powder pattern
Compound: La4PmPr2Ho
Radiation: Cu Ka
Structure: a crystal structure in Alexandria, relaxed with GGA-PBE
Peak positions follow from Bragg's law for the DFT cell and can differ from measured ones.

Structure:
Cell lengths 5.2369, 5.2684, 10.3392 Å; angles 90.00, 90.06, 90.00 degrees
Positions (direct):
1 La 0.9999 0.0000 0.2487
2 La 0.0001 0.0000 0.7513
3 La 0.4993 0.5000 0.2481
4 La 0.5007 0.5000 0.7519
5 Pm 0.5000 0.0000 0.5000
6 Pr 0.0000 0.5000 0.5000
7 Pr 0.5000 0.0000 0.0000
8 Ho 0.0000 0.5000 0.0000

Top 10 peaks for 2θ = 5–70°, sorted by position:
- 2θ 29.6, d 3.016, rel. 100
- 2θ 34.0, d 2.634, rel. 17
- 2θ 34.2, d 2.618, rel. 17
- 2θ 34.7, d 2.585, rel. 16
- 2θ 49.1, d 1.857, rel. 12
- 2θ 49.4, d 1.845, rel. 12
- 2θ 58.2, d 1.585, rel. 15
- 2θ 58.5, d 1.578, rel. 15
- 2θ 59.1, d 1.563, rel. 14
- 2θ 61.5, d 1.508, rel. 13

***

No. 11
Theoretical X-ray powder pattern
Compound: LaPm2HoSb4
Radiation: Cu Ka
Structure: a crystal structure in Alexandria, relaxed with GGA-PBE
Peak positions follow from Bragg's law for the DFT cell and can differ from measured ones.

Structure:
Cell lengths 7.7828, 4.5023, 7.7919 Å; angles 90.00, 109.46, 90.00 degrees
Positions (direct):
1 La 0.0000 0.0000 0.0000
2 Pm 0.0000 0.5000 0.5000
3 Pm 0.5000 0.0000 0.5000
4 Ho 0.5000 0.5000 0.0000
5 Sb 0.2575 0.0000 0.7533
6 Sb 0.2571 0.5000 0.2515
7 Sb 0.7425 0.0000 0.2467
8 Sb 0.7429 0.5000 0.7485

Top 8 peaks for 2θ = 5–70°, sorted by position:
- 2θ 24.2, d 3.673, rel. 2
- 2θ 28.1, d 3.181, rel. 100
- 2θ 40.1, d 2.249, rel. 76
- 2θ 47.4, d 1.918, rel. 1
- 2θ 49.6, d 1.836, rel. 27
- 2θ 58.0, d 1.590, rel. 13
- 2θ 65.6, d 1.423, rel. 29
- 2θ 65.7, d 1.421, rel. 6

***

No. 12
Theoretical X-ray powder pattern
Compound: La4PmHo2Sc
Radiation: Cu Ka
Structure: a crystal structure in Alexandria, relaxed with GGA-PBE
Peak positions follow from Bragg's law for the DFT cell and can differ from measured ones.

Structure:
Cell lengths 5.2637, 5.2766, 9.5497 Å; angles 90.00, 90.00, 90.00 degrees
Positions (direct):
1 La 0.0000 0.0000 0.2482
2 La 0.0000 0.0000 0.7518
3 La 0.5000 0.5000 0.2479
4 La 0.5000 0.5000 0.7521
5 Pm 0.0000 0.5000 0.0000
6 Ho 0.0000 0.5000 0.5000
7 Ho 0.5000 0.0000 0.5000
8 Sc 0.5000 0.0000 0.0000

Top 10 peaks for 2θ = 5–70°, sorted by position:
- 2θ 9.3, d 9.550, rel. 5
- 2θ 30.4, d 2.938, rel. 100
- 2θ 34.0, d 2.635, rel. 37
- 2θ 37.7, d 2.387, rel. 14
- 2θ 48.9, d 1.863, rel. 13
- 2θ 51.7, d 1.769, rel. 23
- 2θ 58.6, d 1.575, rel. 15
- 2θ 58.7, d 1.572, rel. 15
- 2θ 63.3, d 1.469, rel. 12
- 2θ 63.6, d 1.464, rel. 12